# MgTl4Ni4O12
Simulated X-ray diffraction stick pattern, Cu Kα (weighted mean of Kα1 and Kα2). Input: a crystal structure in Alexandria, relaxed with GGA+U.

Main lines, by angle (2θ from 10° to 80°):
two_theta, d_spacing, Rel. int.
20.65, 4.302, 45
26.32, 3.386, 40
30.80, 2.903, 43
32.20, 2.780, 48
32.57, 2.749, 49
33.03, 2.712, 100

```
MgTl4Ni4O12
1.0
5.580 0.000 0.000
0.820 5.671 0.000
1.054 1.735 8.603
Mg Tl Ni O
1 4 4 12
Direct
0.000 0.000 0.000 Mg
0.071 0.776 0.376 Tl
0.530 0.244 0.834 Tl
0.596 0.238 0.354 Tl
0.963 0.652 0.794 Tl
0.088 0.201 0.584 Ni
0.115 0.361 0.152 Ni
0.551 0.678 0.576 Ni
0.555 0.810 0.152 Ni
0.146 0.325 0.928 O
0.236 0.983 0.161 O
0.238 0.851 0.584 O
0.370 0.530 0.227 O
0.415 0.343 0.581 O
0.551 0.638 0.796 O
0.634 0.838 0.367 O
0.665 0.114 0.077 O
0.881 0.667 0.085 O
0.886 0.534 0.574 O
0.895 0.048 0.777 O
0.983 0.217 0.371 O
```